# Ho2Ti2O7
Computed PXRD pattern, a wavelength of 1.5418 Å. Input: the GGA-PBE geometry in the Materials Project.

Cell and atoms:
Cell: 10.1472 10.1472 10.1472 Å, 90.00 90.00 90.00°
Space group Fd-3m (No. 227, origin choice 2)
Symmetry-distinct sites (fractional):
Ho  0.0000  0.0000  0.0000
Ti  0.0000  0.0000  0.5000
O  0.0808  0.3750  0.8750
O  0.1250  0.1250  0.1250

The 12 most intense peaks (2θ from 15° to 90°), by angle:
d 5.858, 2θ 15.12, intensity 32, (1 1 1); d 3.059, 2θ 29.19, intensity 18, (3 1 1); d 2.929, 2θ 30.52, intensity 100, (2 2 2); d 2.537, 2θ 35.38, intensity 30, (4 0 0); d 2.328, 2θ 38.68, intensity 21, (3 3 1); d 1.953, 2θ 46.50, intensity 11, (5 1 1); d 1.794, 2θ 50.91, intensity 48, (4 4 0); d 1.715, 2θ 53.42, intensity 10, (5 3 1); d 1.530, 2θ 60.52, intensity 41, (6 2 2); d 1.465, 2θ 63.52, intensity 9, (4 4 4); d 1.164, 2θ 82.95, intensity 17, (6 6 2); d 1.134, 2θ 85.61, intensity 13, (8 4 0)